1.
Structure and calculated powder XRD pattern of Mn3Se4S2 (DFT lattice parameters and positions (PBE); copper Kα).
Kinematic intensities with the Lorentz-polarization factor, no thermal factor.

Cell and atoms:
Cell lengths 3.201, 3.201, 20.394 Å; angles 90.00, 90.00, 120.00 degrees
Atoms (fractional coordinates):
1 Mn 0.000 0.000 0.000
2 Mn 0.333 0.667 0.319
3 Mn 0.333 0.667 0.681
4 Se 0.000 0.000 0.244
5 Se 0.000 0.000 0.395
6 Se 0.000 0.000 0.605
7 Se 0.000 0.000 0.756
8 S 0.333 0.667 0.068
9 S 0.333 0.667 0.932

The 10 most intense peaks (2θ from 10° to 90°), in order of falling intensity:
2theta	intensity
13.0	100
39.3	73
32.3	63
48.5	60
57.6	33
42.1	31
78.5	14
35.0	13
71.9	11
59.3	10

***

2.
Structure and calculated powder XRD pattern of Ta2MnSe4S2 (DFT lattice parameters and positions (PBE); copper Kα).
Kinematic intensities with the Lorentz-polarization factor, no thermal factor.

Cell and atoms:
Cell lengths 3.368, 3.368, 20.724 Å; angles 90.00, 90.00, 120.00 degrees
Atoms (fractional coordinates):
1 Ta 0.000 0.000 0.000
2 Ta 0.333 0.667 0.343
3 Mn 0.333 0.667 0.686
4 Se 0.000 0.000 0.261
5 Se 0.000 0.000 0.426
6 Se 0.333 0.667 0.083
7 Se 0.333 0.667 0.917
8 S 0.000 0.000 0.623
9 S 0.000 0.000 0.750

The 10 most intense peaks (2θ from 10° to 90°), in order of falling intensity:
2theta	intensity
12.8	100
37.7	48
35.3	42
43.6	34
30.6	32
54.5	24
46.9	20
33.3	16
56.2	14
79.5	11

***

3.
Structure and calculated powder XRD pattern of MnV2Se4S2 (DFT lattice parameters and positions (PBE); copper Kα).
Kinematic intensities with the Lorentz-polarization factor, no thermal factor.

Cell and atoms:
Cell lengths 3.272, 3.272, 20.575 Å; angles 90.00, 90.00, 120.00 degrees
Atoms (fractional coordinates):
1 Mn 0.000 0.000 0.000
2 V 0.000 0.000 0.657
3 V 0.667 0.333 0.318
4 Se 0.000 0.000 0.239
5 Se 0.000 0.000 0.397
6 Se 0.667 0.333 0.579
7 Se 0.667 0.333 0.736
8 S 0.667 0.333 0.066
9 S 0.667 0.333 0.934

The 10 most intense peaks (2θ from 10° to 90°), in order of falling intensity:
2theta	intensity
12.9	100
38.6	74
31.6	57
44.4	48
56.2	40
47.8	39
36.2	31
31.9	29
26.0	19
81.3	18

***

4.
Structure and calculated powder XRD pattern of Y2Mn2Se2S3 (DFT lattice parameters and positions (PBE); copper Kα).
Kinematic intensities with the Lorentz-polarization factor, no thermal factor.

Cell and atoms:
Cell lengths 9.706, 9.706, 9.706 Å; angles 152.30, 152.30, 39.58 degrees
Atoms (fractional coordinates):
1 Y 0.175 0.175 0.000
2 Y 0.825 0.825 0.000
3 Mn 0.000 0.500 0.500
4 Mn 0.500 0.000 0.500
5 Se 0.405 0.405 0.000
6 Se 0.595 0.595 0.000
7 S 0.000 0.000 0.000
8 S 0.250 0.750 0.500
9 S 0.750 0.250 0.500

The 10 most intense peaks (2θ from 10° to 90°), in order of falling intensity:
2theta	intensity
31.1	100
33.6	82
38.8	82
50.5	49
27.1	27
56.0	26
24.1	24
48.6	21
66.9	20
74.5	15

***

5.
Structure and calculated powder XRD pattern of Sm6MnSi2S14 (DFT lattice parameters and positions (PBE); copper Kα).
Kinematic intensities with the Lorentz-polarization factor, no thermal factor.

Cell and atoms:
Cell lengths 10.096, 10.096, 5.694 Å; angles 90.00, 90.00, 120.00 degrees
Atoms (fractional coordinates):
1 Sm 0.023 0.458 0.000
2 Sm 0.310 0.209 0.496
3 Sm 0.435 0.977 0.000
4 Sm 0.542 0.565 0.000
5 Sm 0.791 0.101 0.496
6 Sm 0.899 0.690 0.496
7 Mn 0.667 0.333 0.732
8 Si 0.000 0.000 0.081
9 Si 0.333 0.667 0.588
10 S 0.000 0.000 0.711
11 S 0.077 0.223 0.228
12 S 0.145 0.923 0.228
13 S 0.189 0.745 0.734
14 S 0.255 0.444 0.734
15 S 0.333 0.667 0.218
16 S 0.420 0.246 0.970
17 S 0.505 0.086 0.490
18 S 0.556 0.811 0.734
19 S 0.582 0.495 0.490
20 S 0.754 0.174 0.970
21 S 0.777 0.855 0.228
22 S 0.826 0.580 0.970
23 S 0.914 0.418 0.490

The 10 most intense peaks (2θ from 10° to 90°), in order of falling intensity:
2theta	intensity
25.7	100
40.4	52
37.1	48
23.6	44
37.7	35
41.9	33
18.6	33
35.6	31
27.0	30
20.3	28

***

6.
Structure and calculated powder XRD pattern of Y6MnSi2S14 (DFT lattice parameters and positions (PBE); copper Kα).
Kinematic intensities with the Lorentz-polarization factor, no thermal factor.

Cell and atoms:
Cell lengths 9.893, 9.893, 5.681 Å; angles 90.00, 90.00, 120.00 degrees
Atoms (fractional coordinates):
1 Y 0.025 0.462 0.000
2 Y 0.310 0.205 0.504
3 Y 0.437 0.975 0.000
4 Y 0.538 0.563 0.000
5 Y 0.795 0.105 0.504
6 Y 0.895 0.690 0.504
7 Mn 0.667 0.333 0.226
8 Si 0.000 0.000 0.092
9 Si 0.333 0.667 0.585
10 S 0.000 0.000 0.721
11 S 0.082 0.227 0.242
12 S 0.145 0.918 0.242
13 S 0.188 0.748 0.736
14 S 0.252 0.440 0.736
15 S 0.333 0.667 0.214
16 S 0.417 0.243 0.980
17 S 0.509 0.084 0.463
18 S 0.560 0.812 0.736
19 S 0.575 0.491 0.463
20 S 0.757 0.173 0.980
21 S 0.773 0.855 0.242
22 S 0.827 0.583 0.980
23 S 0.916 0.425 0.463

The 10 most intense peaks (2θ from 10° to 90°), in order of falling intensity:
2theta	intensity
26.1	100
37.9	64
38.0	64
41.2	59
36.3	57
23.9	43
35.2	42
42.3	40
36.5	39
18.7	38

***

7.
Structure and calculated powder XRD pattern of SmMnS3 (DFT lattice parameters and positions (PBE); copper Kα).
Kinematic intensities with the Lorentz-polarization factor, no thermal factor.

Cell and atoms:
Cell lengths 7.707, 3.806, 12.954 Å; angles 90.00, 90.00, 90.00 degrees
Atoms (fractional coordinates):
1 Sm 0.092 0.250 0.170
2 Sm 0.408 0.750 0.670
3 Sm 0.592 0.250 0.330
4 Sm 0.908 0.750 0.830
5 Mn 0.159 0.750 0.447
6 Mn 0.341 0.250 0.947
7 Mn 0.659 0.750 0.053
8 Mn 0.841 0.250 0.553
9 S 0.021 0.750 0.612
10 S 0.154 0.750 0.006
11 S 0.194 0.250 0.787
12 S 0.306 0.750 0.287
13 S 0.346 0.250 0.506
14 S 0.479 0.250 0.112
15 S 0.521 0.750 0.888
16 S 0.654 0.750 0.494
17 S 0.694 0.250 0.713
18 S 0.806 0.750 0.213
19 S 0.846 0.250 0.994
20 S 0.979 0.250 0.388

The 10 most intense peaks (2θ from 10° to 90°), in order of falling intensity:
2theta	intensity
35.9	100
23.6	68
24.1	63
24.4	50
42.2	49
33.5	49
33.8	49
47.8	45
29.6	44
27.0	40

***

8.
Structure and calculated powder XRD pattern of Sm4MnS7 (DFT lattice parameters and positions (PBE); copper Kα).
Kinematic intensities with the Lorentz-polarization factor, no thermal factor.

Cell and atoms:
Cell lengths 9.741, 9.741, 6.882 Å; angles 90.00, 90.00, 120.00 degrees
Atoms (fractional coordinates):
1 Sm 0.167 0.378 0.000
2 Sm 0.212 0.833 0.000
3 Sm 0.333 0.667 0.452
4 Sm 0.378 0.212 0.500
5 Sm 0.622 0.788 0.000
6 Sm 0.667 0.333 0.952
7 Sm 0.788 0.167 0.500
8 Sm 0.833 0.622 0.500
9 Mn 0.000 0.000 0.287
10 Mn 0.000 0.000 0.787
11 S 0.073 0.554 0.237
12 S 0.113 0.245 0.601
13 S 0.132 0.887 0.601
14 S 0.245 0.132 0.101
15 S 0.333 0.667 0.834
16 S 0.446 0.519 0.237
17 S 0.481 0.927 0.237
18 S 0.519 0.073 0.737
19 S 0.554 0.481 0.737
20 S 0.667 0.333 0.334
21 S 0.755 0.868 0.601
22 S 0.868 0.113 0.101
23 S 0.887 0.755 0.101
24 S 0.927 0.446 0.737

The 10 most intense peaks (2θ from 10° to 90°), in order of falling intensity:
2theta	intensity
24.8	100
45.0	47
33.6	42
36.9	41
34.5	21
25.9	17
51.4	16
21.1	15
45.6	15
59.5	14

***

9.
Structure and calculated powder XRD pattern of SmMnS (DFT lattice parameters and positions (PBE); copper Kα).
Kinematic intensities with the Lorentz-polarization factor, no thermal factor.

Cell and atoms:
Cell lengths 11.346, 11.346, 11.346 Å; angles 19.86, 19.86, 19.86 degrees
Atoms (fractional coordinates):
1 Sm 0.072 0.072 0.072
2 Sm 0.928 0.928 0.928
3 Mn 0.331 0.331 0.331
4 Mn 0.669 0.669 0.669
5 S 0.220 0.220 0.220
6 S 0.780 0.780 0.780

The 10 most intense peaks (2θ from 10° to 90°), in order of falling intensity:
2theta	intensity
32.4	100
34.1	57
26.4	52
46.4	49
15.9	38
29.6	29
63.3	21
44.3	19
57.7	18
46.6	17

***

10.
Structure and calculated powder XRD pattern of Sm2TmMnS5 (DFT lattice parameters and positions (PBE); copper Kα).
Kinematic intensities with the Lorentz-polarization factor, no thermal factor.

Cell and atoms:
Cell lengths 8.432, 8.432, 11.856 Å; angles 90.00, 90.00, 153.39 degrees
Atoms (fractional coordinates):
1 Sm 0.119 0.881 0.500
2 Sm 0.122 0.878 0.151
3 Sm 0.878 0.122 0.651
4 Sm 0.881 0.119 0.000
5 Tm 0.185 0.815 0.832
6 Tm 0.815 0.185 0.332
7 Mn 0.449 0.551 0.236
8 Mn 0.551 0.449 0.736
9 S 0.018 0.982 0.833
10 S 0.301 0.699 0.491
11 S 0.310 0.690 0.169
12 S 0.347 0.653 0.824
13 S 0.493 0.507 0.561
14 S 0.507 0.493 0.061
15 S 0.653 0.347 0.324
16 S 0.690 0.310 0.669
17 S 0.699 0.301 0.991
18 S 0.982 0.018 0.333

The 10 most intense peaks (2θ from 10° to 90°), in order of falling intensity:
2theta	intensity
32.8	100
25.0	55
39.0	41
46.8	30
28.2	29
33.6	27
45.9	23
21.7	19
23.6	19
42.7	17

***

11.
Structure and calculated powder XRD pattern of Mn2SnS4 (DFT lattice parameters and positions (PBE); copper Kα).
Kinematic intensities with the Lorentz-polarization factor, no thermal factor.

Cell and atoms:
Cell lengths 7.483, 7.483, 7.473 Å; angles 119.74, 119.74, 90.27 degrees
Atoms (fractional coordinates):
1 Mn 0.000 0.000 0.000
2 Mn 0.000 0.000 0.500
3 Mn 0.000 0.500 0.000
4 Mn 0.500 0.000 0.500
5 Sn 0.376 0.624 0.750
6 Sn 0.624 0.376 0.250
7 S 0.202 0.234 0.968
8 S 0.234 0.202 0.468
9 S 0.234 0.766 0.030
10 S 0.234 0.766 0.470
11 S 0.766 0.234 0.530
12 S 0.766 0.234 0.970
13 S 0.766 0.798 0.532
14 S 0.798 0.766 0.032

The 10 most intense peaks (2θ from 10° to 90°), in order of falling intensity:
2theta	intensity
27.9	100
23.7	81
48.5	51
48.7	51
28.0	50
44.3	29
44.4	26
41.8	19
44.5	16
23.8	16

***

12.
Structure and calculated powder XRD pattern of Mn2SnS4 (DFT lattice parameters and positions (PBE); copper Kα).
Kinematic intensities with the Lorentz-polarization factor, no thermal factor.

Cell and atoms:
Cell lengths 7.435, 7.435, 7.435 Å; angles 120.35, 118.77, 90.77 degrees
Atoms (fractional coordinates):
1 Mn 0.000 0.000 0.500
2 Mn 0.000 0.500 0.000
3 Mn 0.382 0.132 0.250
4 Mn 0.618 0.868 0.750
5 Sn 0.000 0.500 0.500
6 Sn 0.500 0.500 0.000
7 S 0.227 0.750 0.478
8 S 0.228 0.250 0.978
9 S 0.236 0.235 0.499
10 S 0.236 0.738 0.001
11 S 0.764 0.262 0.999
12 S 0.764 0.765 0.501
13 S 0.772 0.750 0.022
14 S 0.773 0.250 0.522

The 10 most intense peaks (2θ from 10° to 90°), in order of falling intensity:
2theta	intensity
27.8	100
49.0	100
33.9	74
14.7	57
28.3	51
28.2	47
45.1	37
34.3	35
44.7	27
48.1	26